No. 1
Diffraction record for B4MoRu2. The PXRD pattern is calculated, not measured: it uses a PBE-relaxed structure and copper Kα.
Neutral-atom scattering factors, no anomalous dispersion.

```
data_B4MoRu2
_symmetry_space_group_name_H-M 'I m m m'
_symmetry_Int_Tables_number 71
_symmetry_space_group_name_Hall '-I 2 2'
_cell_length_a 3.009
_cell_length_b 3.315
_cell_length_c 13.235
_cell_angle_alpha 90.00
_cell_angle_beta 90.00
_cell_angle_gamma 90.00
loop_
_atom_site_label
_atom_site_type_symbol
_atom_site_fract_x
_atom_site_fract_y
_atom_site_fract_z
B1 B 0.000 0.000 0.070
B2 B 0.000 0.500 0.353
Mo1 Mo 0.000 0.000 0.500
Ru1 Ru 0.000 0.500 0.180
```

The 10 most intense peaks (2θ = 5–70°), by angle:
- 27.7°, d 3.215, intensity 66.2
- 33.8°, d 2.650, intensity 12.7
- 36.1°, d 2.486, intensity 100.0
- 40.9°, d 2.206, intensity 34.5
- 42.8°, d 2.111, intensity 93.1
- 43.8°, d 2.068, intensity 55.9
- 49.3°, d 1.848, intensity 21.9
- 55.4°, d 1.657, intensity 19.9
- 61.7°, d 1.504, intensity 14.3
- 68.0°, d 1.379, intensity 30.8


No. 2
Diffraction record for Li4CO4. The PXRD pattern is calculated, not measured: it uses a PBE-relaxed structure and copper Kα.
Neutral-atom scattering factors, no anomalous dispersion.

```
data_Li4CO4
_symmetry_space_group_name_H-M 'R 3 m'
_symmetry_Int_Tables_number 160
_symmetry_space_group_name_Hall 'R 3 -2"'
_cell_length_a 5.9997
_cell_length_b 5.9997
_cell_length_c 7.0377
_cell_angle_alpha 90.00
_cell_angle_beta 90.00
_cell_angle_gamma 120.00
loop_
_atom_site_label
_atom_site_type_symbol
_atom_site_fract_x
_atom_site_fract_y
_atom_site_fract_z
Li1 Li 0.0000 0.0000 0.0000
Li2 Li 0.0465 0.5232 0.9798
C1 C 0.0000 0.0000 0.7128
O1 O 0.0000 0.0000 0.5072
O2 O 0.0735 0.5367 0.4481
```

The 10 most intense peaks (2θ = 5–70°), by angle:
- 21.3°, d 4.180, intensity 100.0
- 29.8°, d 3.000, intensity 17.3
- 30.7°, d 2.914, intensity 12.3
- 36.9°, d 2.437, intensity 33.3
- 38.4°, d 2.346, intensity 13.5
- 43.3°, d 2.090, intensity 51.0
- 52.9°, d 1.732, intensity 13.6
- 53.4°, d 1.715, intensity 22.1
- 61.9°, d 1.500, intensity 16.0
- 63.9°, d 1.457, intensity 16.6